# 1
Zn2Sn: simulated powder XRD pattern (Cu Kα (weighted mean of Kα1 and Kα2)), based on a GGA-PBE-relaxed structure.
Lines closer than 0.1° are merged.

Principal peaks in the range 15 to 90 degrees two-theta, sorted by position:
2theta, d/Å, Rel. int.
31.72, 2.821, 37
33.97, 2.639, 24
34.24, 2.619, 46
35.81, 2.508, 100
36.25, 2.478, 19
37.96, 2.371, 66
38.55, 2.336, 50
39.69, 2.271, 28
40.38, 2.234, 62
40.61, 2.222, 23

Cell: 7.619 5.015 12.606 Å, 90.00 100.72 90.00°
Fractional positions:
Zn 0.006 0.250 0.272
Zn 0.052 0.250 0.069
Zn 0.076 0.250 0.863
Zn 0.099 0.250 0.491
Zn 0.240 0.750 0.595
Zn 0.294 0.750 0.872
Zn 0.386 0.250 0.999
Zn 0.449 0.250 0.502
Zn 0.551 0.750 0.498
Zn 0.614 0.750 0.001
Zn 0.706 0.250 0.128
Zn 0.760 0.250 0.405
Zn 0.901 0.750 0.509
Zn 0.924 0.750 0.137
Zn 0.948 0.750 0.931
Zn 0.994 0.750 0.728
Sn 0.183 0.750 0.362
Sn 0.289 0.750 0.105
Sn 0.308 0.250 0.717
Sn 0.410 0.250 0.259
Sn 0.590 0.750 0.741
Sn 0.692 0.750 0.283
Sn 0.711 0.250 0.895
Sn 0.817 0.250 0.638


# 2
Li3ReN2: simulated powder XRD pattern (Cu Kα (weighted mean of Kα1 and Kα2)), based on a GGA-PBE-relaxed structure.
Lines closer than 0.1° are merged.

Principal peaks in the range 15 to 90 degrees two-theta, sorted by position:
2theta, d/Å, Rel. int.
18.15, 4.887, 64
20.13, 4.411, 100
32.92, 2.720, 29
40.22, 2.242, 17
40.92, 2.206, 16
41.22, 2.190, 31
49.26, 1.850, 20
51.78, 1.766, 13
52.10, 1.755, 12
55.32, 1.661, 14

Cell: 6.030 6.030 6.030 Å, 131.60 71.71 130.53°
Fractional positions:
Li 0.015 0.250 0.765
Li 0.250 0.250 0.000
Li 0.485 0.250 0.235
Li 0.515 0.750 0.765
Li 0.750 0.750 0.000
Li 0.985 0.750 0.235
Re 0.250 0.750 0.500
Re 0.750 0.250 0.500
N 0.119 0.729 0.848
N 0.381 0.229 0.610
N 0.619 0.771 0.390
N 0.881 0.271 0.152


# 3
LiZnCu4As2: simulated powder XRD pattern (Cu Kα (weighted mean of Kα1 and Kα2)), based on a GGA-PBE-relaxed structure.
Lines closer than 0.1° are merged.

Principal peaks in the range 15 to 90 degrees two-theta, sorted by position:
2theta, d/Å, Rel. int.
21.58, 4.119, 5
25.62, 3.477, 9
35.22, 2.548, 3
41.68, 2.167, 100
43.97, 2.059, 43
51.58, 1.772, 3
56.78, 1.621, 10
63.93, 1.456, 13
74.48, 1.274, 16
79.27, 1.209, 27

Cell: 4.119 4.119 6.486 Å, 90.00 90.00 90.00°
Fractional positions:
Li 0.000 0.000 0.000
Zn 0.500 0.500 0.500
Cu 0.000 0.500 0.254
Cu 0.000 0.500 0.746
Cu 0.500 0.000 0.254
Cu 0.500 0.000 0.746
As 0.000 0.000 0.500
As 0.500 0.500 0.000


# 4
Ni3Ir: simulated powder XRD pattern (Cu Kα (weighted mean of Kα1 and Kα2)), based on a GGA-PBE-relaxed structure.
Lines closer than 0.1° are merged.

Principal peaks in the range 15 to 90 degrees two-theta, sorted by position:
2theta, d/Å, Rel. int.
20.93, 4.244, 38
29.77, 3.001, 16
39.99, 2.255, 15
42.61, 2.122, 61
45.56, 1.991, 100
47.93, 1.898, 9
59.85, 1.545, 10
61.83, 1.500, 20
80.08, 1.198, 36
86.28, 1.127, 15

Cell: 4.244 4.244 2.661 Å, 90.00 90.00 90.00°
Fractional positions:
Ni 0.000 0.000 0.000
Ni 0.000 0.500 0.500
Ni 0.500 0.000 0.500
Ir 0.500 0.500 0.000


# 5
GdSn2Se3: simulated powder XRD pattern (Cu Kα (weighted mean of Kα1 and Kα2)), based on a GGA-PBE-relaxed structure.
Lines closer than 0.1° are merged.

Principal peaks in the range 15 to 90 degrees two-theta, sorted by position:
2theta, d/Å, Rel. int.
26.33, 3.384, 8
29.55, 3.023, 100
40.13, 2.247, 44
44.36, 2.042, 34
46.83, 1.940, 8
54.20, 1.692, 18
61.34, 1.511, 13
66.47, 1.407, 17
72.55, 1.303, 16
78.78, 1.215, 13

Cell: 4.084 4.084 11.640 Å, 90.00 90.00 120.00°
Fractional positions:
Gd 0.000 0.000 0.000
Sn 0.333 0.667 0.660
Sn 0.667 0.333 0.340
Se 0.000 0.000 0.500
Se 0.333 0.667 0.143
Se 0.667 0.333 0.857


# 6
TmLuCo2Te2: simulated powder XRD pattern (Cu Kα (weighted mean of Kα1 and Kα2)), based on a GGA-PBE-relaxed structure.
Lines closer than 0.1° are merged.

Principal peaks in the range 15 to 90 degrees two-theta, sorted by position:
2theta, d/Å, Rel. int.
24.81, 3.589, 12
28.72, 3.108, 55
41.07, 2.198, 100
48.58, 1.874, 6
50.89, 1.794, 16
59.48, 1.554, 17
65.45, 1.426, 2
67.37, 1.390, 20
74.83, 1.269, 33
89.10, 1.099, 11

Cell: 8.791 4.396 13.187 Å, 90.00 109.47 90.00°
Fractional positions:
Tm 0.000 0.000 0.000
Tm 0.125 0.500 0.750
Tm 0.250 0.000 0.500
Tm 0.500 0.000 0.000
Lu 0.375 0.500 0.250
Lu 0.625 0.500 0.750
Lu 0.750 0.000 0.500
Lu 0.875 0.500 0.250
Co 0.063 0.500 0.126
Co 0.188 0.000 0.875
Co 0.314 0.500 0.625
Co 0.438 0.000 0.375
Co 0.563 0.500 0.126
Co 0.687 0.000 0.874
Co 0.811 0.500 0.624
Co 0.936 0.000 0.375
Te 0.125 0.000 0.250
Te 0.250 0.500 0.001
Te 0.376 0.000 0.750
Te 0.501 0.500 0.500
Te 0.625 0.000 0.251
Te 0.750 0.500 0.000
Te 0.874 0.000 0.749
Te 0.999 0.500 0.499


# 7
PuFe3: simulated powder XRD pattern (Cu Kα (weighted mean of Kα1 and Kα2)), based on a GGA-PBE-relaxed structure.
Lines closer than 0.1° are merged.

Principal peaks in the range 15 to 90 degrees two-theta, sorted by position:
2theta, d/Å, Rel. int.
19.79, 4.485, 22
28.87, 3.093, 64
34.64, 2.590, 26
40.21, 2.243, 24
42.33, 2.135, 28
45.69, 1.986, 100
58.58, 1.576, 18
73.08, 1.295, 16
79.81, 1.202, 19
88.26, 1.107, 20

Cell: 5.179 5.179 4.270 Å, 90.00 90.00 120.00°
Fractional positions:
Pu 0.333 0.667 0.250
Pu 0.667 0.333 0.750
Fe 0.163 0.326 0.750
Fe 0.163 0.837 0.750
Fe 0.326 0.163 0.250
Fe 0.674 0.837 0.750
Fe 0.837 0.163 0.250
Fe 0.837 0.674 0.250


# 8
Zr2ZnSe2S2: simulated powder XRD pattern (Cu Kα (weighted mean of Kα1 and Kα2)), based on a GGA-PBE-relaxed structure.
Lines closer than 0.1° are merged.

Principal peaks in the range 15 to 90 degrees two-theta, sorted by position:
2theta, d/Å, Rel. int.
16.64, 5.328, 26
21.28, 4.176, 20
26.79, 3.328, 89
27.48, 3.246, 100
43.33, 2.088, 26
44.35, 2.042, 43
45.15, 2.008, 23
46.52, 1.952, 39
50.10, 1.821, 18
54.01, 1.698, 14

Cell: 6.829 6.829 5.537 Å, 112.83 112.83 107.57°
Fractional positions:
Zr 0.000 0.000 0.000
Zr 0.793 0.207 0.500
Zn 0.269 0.731 0.500
Se 0.395 0.119 0.511
Se 0.881 0.605 0.489
S 0.168 0.389 0.033
S 0.611 0.832 0.967


# 9
LiSbIr2: simulated powder XRD pattern (Cu Kα (weighted mean of Kα1 and Kα2)), based on a GGA-PBE-relaxed structure.
Lines closer than 0.1° are merged.

Principal peaks in the range 15 to 90 degrees two-theta, sorted by position:
2theta, d/Å, Rel. int.
24.45, 3.641, 37
28.31, 3.153, 7
40.46, 2.229, 100
47.84, 1.901, 19
58.55, 1.576, 17
64.40, 1.447, 8
66.29, 1.410, 2
73.59, 1.287, 35
78.88, 1.214, 6
87.51, 1.115, 11

Cell: 4.459 4.459 4.459 Å, 60.00 60.00 60.00°
Fractional positions:
Li 0.000 0.000 0.000
Sb 0.750 0.750 0.750
Ir 0.250 0.250 0.250
Ir 0.500 0.500 0.500


# 10
PrPdSe3: simulated powder XRD pattern (Cu Kα (weighted mean of Kα1 and Kα2)), based on a GGA-PBE-relaxed structure.
Lines closer than 0.1° are merged.

Principal peaks in the range 15 to 90 degrees two-theta, sorted by position:
2theta, d/Å, Rel. int.
24.01, 3.706, 42
24.98, 3.565, 23
32.92, 2.721, 33
33.84, 2.649, 24
34.14, 2.626, 64
35.74, 2.513, 100
37.60, 2.392, 98
44.57, 2.033, 40
53.26, 1.720, 25
58.41, 1.580, 31

Cell: 5.856 5.856 10.044 Å, 90.00 90.00 139.37°
Fractional positions:
Pr 0.223 0.777 0.750
Pr 0.777 0.223 0.250
Pd 0.000 0.000 0.000
Pd 0.000 0.000 0.500
Se 0.071 0.929 0.250
Se 0.355 0.645 0.026
Se 0.355 0.645 0.474
Se 0.645 0.355 0.526
Se 0.645 0.355 0.974
Se 0.929 0.071 0.750


# 11
Sr2ReP6Pt: simulated powder XRD pattern (Cu Kα (weighted mean of Kα1 and Kα2)), based on a GGA-PBE-relaxed structure.
Lines closer than 0.1° are merged.

Principal peaks in the range 15 to 90 degrees two-theta, sorted by position:
2theta, d/Å, Rel. int.
16.41, 5.401, 31
18.08, 4.906, 26
24.26, 3.669, 100
25.51, 3.492, 50
27.18, 3.281, 48
28.22, 3.163, 27
31.66, 2.826, 30
35.76, 2.511, 49
44.40, 2.040, 44
44.52, 2.035, 28

Cell: 11.700 7.339 10.808 Å, 90.00 90.00 90.00°
Fractional positions:
Sr 0.059 0.250 0.207
Sr 0.164 0.250 0.843
Sr 0.336 0.750 0.343
Sr 0.441 0.750 0.707
Sr 0.559 0.250 0.293
Sr 0.664 0.250 0.657
Sr 0.836 0.750 0.157
Sr 0.941 0.750 0.793
Re 0.071 0.750 0.524
Re 0.429 0.250 0.024
Re 0.571 0.750 0.976
Re 0.929 0.250 0.476
P 0.033 0.041 0.617
P 0.033 0.459 0.617
P 0.070 0.578 0.038
P 0.070 0.922 0.038
P 0.137 0.250 0.525
P 0.188 0.750 0.688
P 0.312 0.250 0.188
P 0.363 0.750 0.025
P 0.430 0.078 0.538
P 0.430 0.422 0.538
P 0.467 0.541 0.117
P 0.467 0.959 0.117
P 0.533 0.041 0.883
P 0.533 0.459 0.883
P 0.570 0.578 0.462
P 0.570 0.922 0.462
P 0.637 0.250 0.975
P 0.688 0.750 0.812
P 0.812 0.250 0.312
P 0.863 0.750 0.475
P 0.930 0.078 0.962
P 0.930 0.422 0.962
P 0.967 0.541 0.383
P 0.967 0.959 0.383
Pt 0.201 0.750 0.895
Pt 0.299 0.250 0.395
Pt 0.701 0.750 0.605
Pt 0.799 0.250 0.105


# 12
K3Cd16: simulated powder XRD pattern (Cu Kα (weighted mean of Kα1 and Kα2)), based on a GGA-PBE-relaxed structure.
Lines closer than 0.1° are merged.

Principal peaks in the range 15 to 90 degrees two-theta, sorted by position:
2theta, d/Å, Rel. int.
19.34, 4.590, 11
30.80, 2.903, 59
37.99, 2.368, 100
39.26, 2.295, 23
41.75, 2.164, 21
47.53, 1.913, 9
51.77, 1.766, 12
63.29, 1.469, 31
72.92, 1.297, 10
79.56, 1.205, 15

Cell: 9.179 9.179 11.597 Å, 90.00 90.00 90.00°
Fractional positions:
K 0.250 0.250 0.085
K 0.250 0.250 0.415
K 0.250 0.250 0.750
K 0.750 0.750 0.250
K 0.750 0.750 0.585
K 0.750 0.750 0.915
Cd 0.093 0.611 0.062
Cd 0.093 0.889 0.438
Cd 0.099 0.606 0.812
Cd 0.099 0.894 0.688
Cd 0.106 0.599 0.312
Cd 0.106 0.901 0.188
Cd 0.111 0.593 0.562
Cd 0.111 0.907 0.938
Cd 0.389 0.593 0.938
Cd 0.389 0.907 0.562
Cd 0.394 0.599 0.188
Cd 0.394 0.901 0.312
Cd 0.401 0.606 0.688
Cd 0.401 0.894 0.812
Cd 0.407 0.611 0.438
Cd 0.407 0.889 0.062
Cd 0.593 0.111 0.938
Cd 0.593 0.389 0.562
Cd 0.599 0.106 0.188
Cd 0.599 0.394 0.312
Cd 0.606 0.099 0.688
Cd 0.606 0.401 0.812
Cd 0.611 0.093 0.438
Cd 0.611 0.407 0.062
Cd 0.889 0.093 0.062
Cd 0.889 0.407 0.438
Cd 0.894 0.099 0.812
Cd 0.894 0.401 0.688
Cd 0.901 0.106 0.312
Cd 0.901 0.394 0.188
Cd 0.907 0.111 0.562
Cd 0.907 0.389 0.938